For Na2HfB2O6, a crystal structure in Alexandria, relaxed with PBE gives the computed powder diffractogram in this record (Cu Ka).
Lines closer than 0.1° are merged.

Principal peaks in the range 10° ≤ 2θ ≤ 90°, sorted by position:
2θ/deg	I_rel	h k l
14.7	61	0 0 1
19.8	50	1 0 0
24.8	100	1 0 1
34.6	26	1 1 0
36.0	47	1 0 2
37.8	24	2 -1 1
43.0	26	2 0 1
46.3	15	2 -1 2
50.8	20	0 2 2
56.4	23	3 -2 1
58.2	15	1 1 3
62.9	15	3 -1 2

Structure:
a = 5.181 Å, b = 5.181 Å, c = 6.007 Å
α = 90.00°, β = 90.00°, γ = 120.00°
Fractional positions:
Na: 0.333 0.667 0.325
Na: 0.667 0.333 0.675
Hf: 0.000 0.000 0.000
B: 0.333 0.667 0.804
B: 0.667 0.333 0.196
O: 0.114 0.745 0.798
O: 0.255 0.369 0.798
O: 0.369 0.114 0.202
O: 0.631 0.886 0.798
O: 0.745 0.631 0.202
O: 0.886 0.255 0.202